(1)
Diffraction record for Ho4Sc7In. The powder diffractogram is simulated, not measured: it uses a PBE-relaxed structure and Cu Kα, 1.54184 Å.
No peak broadening, texture or thermal motion is included.

Cell and atoms:
```
data_Ho4Sc7In
_chemical_formula_sum 'Ho8 Sc14 In2'
_symmetry_space_group_name_H-M 'C 1 2/m 1'
_symmetry_Int_Tables_number 12
_cell_length_a 11.322
_cell_length_b 5.355
_cell_length_c 11.279
_cell_angle_alpha 90.00
_cell_angle_beta 101.91
_cell_angle_gamma 90.00
loop_
_symmetry_equiv_pos_as_xyz
'x,y,z'
'-x,-y,-z'
'-x,y,-z'
'x,-y,z'
'x+1/2,y+1/2,z'
'-x+1/2,-y+1/2,-z'
'-x+1/2,y+1/2,-z'
'x+1/2,-y+1/2,z'
loop_
_atom_site_label
_atom_site_fract_x
_atom_site_fract_y
_atom_site_fract_z
Ho1 0.079 0.000 0.264
Ho2 0.138 0.500 0.785
Sc1 0.000 0.500 0.500
Sc2 0.117 0.500 0.104
Sc3 0.136 0.000 0.975
Sc4 0.245 0.500 0.391
In1 0.000 0.000 0.500
```

Most intense lines, 10 to 90 degrees two-theta, low angle first:
| d/Å | 2θ (°) | I/Imax | (hkl) |
| --- | --- | --- | --- |
| 5.524 | 16.05 | 43 | 0 0 2 |
| 4.279 | 20.76 | 62 | 1 1 1 |
| 3.065 | 29.14 | 43 | 3 1 -1 |
| 2.877 | 31.08 | 23 | 3 1 -2 |
| 2.808 | 31.87 | 100 | 1 1 3 |
| 2.705 | 33.12 | 40 | 2 0 -4 |
| 2.677 | 33.47 | 62 | 0 2 0 |
| 2.566 | 34.97 | 91 | 4 0 1 |
| 1.903 | 47.80 | 29 | 2 2 -4 |
| 1.852 | 49.20 | 25 | 4 2 1 |



(2)
Diffraction record for Ho8Ge3Te4C. The powder diffractogram is simulated, not measured: it uses a PBE-relaxed structure and Cu Kα, 1.54184 Å.
No peak broadening, texture or thermal motion is included.

Cell and atoms:
```
data_Ho8Ge3Te4C
_chemical_formula_sum 'Ho24 Ge9 Te12 C3'
_symmetry_space_group_name_H-M 'R -3 m'
_symmetry_Int_Tables_number 166
_symmetry_space_group_name_Hall '-R 3 2"'
_cell_length_a 8.2590
_cell_length_b 8.2590
_cell_length_c 21.1180
_cell_angle_alpha 90.00
_cell_angle_beta 90.00
_cell_angle_gamma 120.00
loop_
_atom_site_label
_atom_site_fract_x
_atom_site_fract_y
_atom_site_fract_z
Ho1 0.0000 0.0000 0.2408
Ho2 0.0237 0.5118 0.2351
Ge1 0.0000 0.5000 0.5000
Te1 0.0000 0.0000 0.0000
Te2 0.0000 0.5000 0.0000
C1 0.0000 0.0000 0.5000
```

Most intense lines, 10 to 90 degrees two-theta, low angle first:
| d/Å | 2θ (°) | I/Imax | (hkl) |
| --- | --- | --- | --- |
| 3.387 | 26.31 | 10 | 2 0 2 |
| 2.961 | 30.18 | 100 | 0 2 4 |
| 2.729 | 32.81 | 13 | 2 0 5 |
| 2.124 | 42.57 | 31 | 2 0 8 |
| 2.065 | 43.85 | 37 | 2 2 0 |
| 1.693 | 54.16 | 21 | 4 0 4 |
| 1.480 | 62.79 | 16 | 0 4 8 |
| 1.339 | 70.27 | 10 | 2 2 12 |
| 1.309 | 72.14 | 16 | 2 4 4 |
| 1.203 | 79.71 | 12 | 4 2 8 |



(3)
Diffraction record for Ce2Ga8Ni. The powder diffractogram is simulated, not measured: it uses a PBE-relaxed structure and Cu Kα, 1.54184 Å.
No peak broadening, texture or thermal motion is included.

Cell and atoms:
```
data_Ce2Ga8Ni
_chemical_formula_sum 'Ce2 Ga8 Ni1'
_symmetry_space_group_name_H-M 'P 4/m m m'
_symmetry_Int_Tables_number 123
_symmetry_space_group_name_Hall '-P 4 2'
_cell_length_a 4.322
_cell_length_b 4.322
_cell_length_c 11.227
_cell_angle_alpha 90.00
_cell_angle_beta 90.00
_cell_angle_gamma 90.00
loop_
_atom_site_label
_atom_site_fract_x
_atom_site_fract_y
_atom_site_fract_z
Ce1 0.000 0.000 0.195
Ga1 0.000 0.500 0.000
Ga2 0.000 0.500 0.383
Ga3 0.500 0.500 0.197
Ni1 0.000 0.000 0.500
```

Most intense lines, 10 to 90 degrees two-theta, low angle first:
| d/Å | 2θ (°) | I/Imax | (hkl) |
| --- | --- | --- | --- |
| 4.322 | 20.55 | 17 | 1 0 0 |
| 2.684 | 33.38 | 49 | 1 1 2 |
| 2.367 | 38.01 | 100 | 1 1 3 |
| 2.245 | 40.16 | 22 | 0 0 5 |
| 2.161 | 41.80 | 59 | 2 0 0 |
| 1.557 | 59.35 | 27 | 2 0 5 |
| 1.528 | 60.60 | 19 | 2 2 0 |
| 1.284 | 73.81 | 27 | 3 1 3 |
| 1.275 | 74.38 | 13 | 1 1 8 |
| 1.263 | 75.21 | 13 | 2 2 5 |